1.
This entry pairs a crystal structure of CaNd6Dy2Er with its simulated powder diffraction line list. Radiation: Cu Ka. Structure: a structure optimized by DFT (GGA-PBE).
Lines closer than 0.1° are merged.

Cell and atoms:
```
data_CaNd6Dy2Er
_cell_length_a 9.209
_cell_length_b 15.511
_cell_length_c 9.898
_cell_angle_alpha 90.00
_cell_angle_beta 98.84
_cell_angle_gamma 90.00
_symmetry_space_group_name_H-M 'C 1 2/c 1'
_symmetry_Int_Tables_number 15
_symmetry_space_group_name_Hall '-C 2yc'
loop_
_atom_site_label
_atom_site_type_symbol
_atom_site_fract_x
_atom_site_fract_y
_atom_site_fract_z
Ca1 Ca 0.000 0.098 0.250
Nd1 Nd 0.060 0.325 0.447
Nd2 Nd 0.107 0.106 0.624
Nd3 Nd 0.201 0.271 0.823
Dy1 Dy 0.247 0.451 0.043
Er1 Er 0.000 0.474 0.750
```

Principal peaks in the range 10° ≤ 2θ ≤ 90°, in order of falling intensity:
31.05°, I = 100.0, hkl 2 2 2; 30.03°, I = 92.4, hkl 3 1 -1; 32.72°, I = 84.4, hkl 1 3 -3; 27.96°, I = 70.9, hkl 1 3 2; 31.37°, I = 59.7, hkl 1 5 -1; 29.73°, I = 56.8, hkl 0 2 3; 30.44°, I = 50.4, hkl 1 5 0; 30.76°, I = 45.7, hkl 2 4 -1; 37.04°, I = 29.9, hkl 1 1 -4; 51.87°, I = 24.2, hkl 4 2 -4


2.
This entry pairs a crystal structure of RbCaDyF6 with its simulated powder diffraction line list. Radiation: Cu Ka. Structure: a structure optimized by DFT (GGA-PBE).
Lines closer than 0.1° are merged.

Cell and atoms:
```
data_RbCaDyF6
_cell_length_a 8.120
_cell_length_b 8.359
_cell_length_c 11.886
_cell_angle_alpha 90.00
_cell_angle_beta 90.00
_cell_angle_gamma 90.00
_symmetry_space_group_name_H-M 'I m m a'
_symmetry_Int_Tables_number 74
_symmetry_space_group_name_Hall '-I 2b 2'
loop_
_atom_site_label
_atom_site_type_symbol
_atom_site_fract_x
_atom_site_fract_y
_atom_site_fract_z
Rb1 Rb 0.000 0.250 0.054
Ca1 Ca 0.250 0.250 0.750
Dy1 Dy 0.000 0.000 0.500
F1 F 0.000 0.250 0.440
F2 F 0.000 0.250 0.826
F3 F 0.197 0.059 0.617
```

Principal peaks in the range 10° ≤ 2θ ≤ 90°, in order of falling intensity:
25.11°, I = 100.0, hkl 1 2 1; 14.91°, I = 52.0, hkl 0 0 2; 26.59°, I = 50.8, hkl 2 0 2; 13.21°, I = 41.9, hkl 1 0 1; 40.40°, I = 25.6, hkl 3 2 1; 33.05°, I = 22.3, hkl 1 2 3; 46.05°, I = 21.4, hkl 3 2 3; 43.51°, I = 20.1, hkl 2 2 4; 21.89°, I = 18.3, hkl 2 0 0; 51.53°, I = 16.6, hkl 2 4 2